Starting from the PBE+U geometry in Alexandria, the XRD peak list of AlNi3Se2ClO8 was calculated for Cu Kα (weighted mean of Kα1 and Kα2).
Kinematic intensities with the Lorentz-polarization factor, no thermal factor.

Principal peaks in the range 2θ = 10–90°, in order of falling intensity:
- (1 0 1), 2θ 19.38, intensity 100
- (1 0 2), 2θ 27.42, intensity 80
- (2 2 1), 2θ 38.98, intensity 75
- (0 3 1), 2θ 30.11, intensity 68
- (0 2 3), 2θ 38.63, intensity 58
- (0 0 1), 2θ 11.06, intensity 58

a = 5.587 Å, b = 9.589 Å, c = 8.001 Å
α = 90.00°, β = 90.00°, γ = 90.00°
Positions (direct):
Al (0.250, 0.250, 0.155)
Al (0.750, 0.750, 0.845)
Ni (0.000, 0.000, 0.000)
Ni (0.000, 0.500, 0.000)
Ni (0.250, 0.250, 0.774)
Ni (0.500, 0.000, 0.000)
Ni (0.500, 0.500, 0.000)
Ni (0.750, 0.750, 0.226)
Se (0.250, 0.582, 0.635)
Se (0.250, 0.918, 0.635)
Se (0.750, 0.082, 0.365)
Se (0.750, 0.418, 0.365)
Cl (0.250, 0.750, 0.157)
Cl (0.750, 0.250, 0.843)
O (0.005, 0.606, 0.773)
O (0.005, 0.894, 0.773)
O (0.250, 0.093, 0.604)
O (0.250, 0.127, 0.971)
O (0.250, 0.373, 0.971)
O (0.250, 0.407, 0.604)
O (0.495, 0.606, 0.773)
O (0.495, 0.894, 0.773)
O (0.505, 0.106, 0.227)
O (0.505, 0.394, 0.227)
O (0.750, 0.593, 0.396)
O (0.750, 0.627, 0.029)
O (0.750, 0.873, 0.029)
O (0.750, 0.907, 0.396)
O (0.995, 0.106, 0.227)
O (0.995, 0.394, 0.227)